Entry 1:
Structure and simulated X-ray powder pattern of Zn2NiIrO6 (a crystal structure in the Materials Project, relaxed with GGA+U; a wavelength of 1.5418 Å).
Peak positions follow from Bragg's law for the DFT cell and can differ from measured ones.

Structural model:
```
data_Zn2NiIrO6
_cell_length_a 5.246
_cell_length_b 5.212
_cell_length_c 9.250
_cell_angle_alpha 90.00
_cell_angle_beta 123.60
_cell_angle_gamma 90.00
_symmetry_space_group_name_H-M 'P 1 c 1'
_symmetry_Int_Tables_number 7
_symmetry_space_group_name_Hall 'P -2yc'
loop_
_atom_site_label
_atom_site_fract_x
_atom_site_fract_y
_atom_site_fract_z
Zn1 0.000 0.219 0.000
Zn2 0.453 0.281 0.484
Ni1 0.224 0.250 0.741
Ir1 0.726 0.250 0.242
O1 0.080 0.160 0.481
O2 0.373 0.339 0.002
O3 0.459 0.084 0.298
O4 0.645 0.431 0.816
O5 0.807 0.068 0.667
O6 0.992 0.417 0.185
```

The 10 most intense peaks (5° ≤ 2θ ≤ 70°), in order of rising 2θ:
| (hkl) | 2θ (°) | I/Imax |
| --- | --- | --- |
| 0 1 1 | 20.6 | 69.0 |
| 1 1 -1 | 24.1 | 25.6 |
| 1 1 1 | 33.4 | 99.4 |
| 1 1 -3 | 33.8 | 100.0 |
| 2 0 -2 | 34.2 | 48.7 |
| 0 2 0 | 34.4 | 47.0 |
| 0 0 4 | 47.2 | 25.6 |
| 2 2 -2 | 49.3 | 41.4 |
| 3 1 -1 | 60.4 | 22.5 |
| 3 1 -5 | 61.2 | 43.9 |

Entry 2:
Structure and simulated X-ray powder pattern of Li2MnF4 (a crystal structure in the Materials Project, relaxed with GGA+U; a wavelength of 1.5418 Å).
Peak positions follow from Bragg's law for the DFT cell and can differ from measured ones.

Structural model:
```
data_Li2MnF4
_cell_length_a 3.286
_cell_length_b 8.769
_cell_length_c 8.753
_cell_angle_alpha 90.00
_cell_angle_beta 90.00
_cell_angle_gamma 90.00
_symmetry_space_group_name_H-M 'P m c 21'
_symmetry_Int_Tables_number 26
_symmetry_space_group_name_Hall 'P 2c -2'
loop_
_atom_site_label
_atom_site_fract_x
_atom_site_fract_y
_atom_site_fract_z
Li1 0.000 0.004 0.000
Li2 0.000 0.481 0.523
Mn1 0.500 0.251 0.769
F1 0.000 0.139 0.653
F2 0.000 0.365 0.880
F3 0.500 0.076 0.938
F4 0.500 0.420 0.593
```

The 10 most intense peaks (5° ≤ 2θ ≤ 70°), in order of rising 2θ:
| (hkl) | 2θ (°) | I/Imax |
| --- | --- | --- |
| 0 1 1 | 14.3 | 100.0 |
| 0 2 2 | 28.8 | 14.4 |
| 1 1 1 | 30.8 | 6.7 |
| 1 2 1 | 35.7 | 14.1 |
| 1 2 2 | 40.0 | 5.9 |
| 1 1 3 | 42.7 | 8.5 |
| 0 3 3 | 43.8 | 7.5 |
| 1 3 3 | 52.3 | 5.1 |
| 1 4 2 | 54.5 | 8.3 |
| 1 5 1 | 60.8 | 7.6 |

Entry 3:
Structure and simulated X-ray powder pattern of MgV4O10 (a crystal structure in the Materials Project, relaxed with GGA+U; a wavelength of 1.5418 Å).
Peak positions follow from Bragg's law for the DFT cell and can differ from measured ones.

Structural model:
```
data_MgV4O10
_cell_length_a 5.432
_cell_length_b 5.682
_cell_length_c 9.681
_cell_angle_alpha 90.85
_cell_angle_beta 95.66
_cell_angle_gamma 118.16
_symmetry_space_group_name_H-M 'P 1'
_symmetry_Int_Tables_number 1
_symmetry_space_group_name_Hall 'P 1'
loop_
_atom_site_label
_atom_site_fract_x
_atom_site_fract_y
_atom_site_fract_z
Mg1 0.000 0.000 0.000
V1 0.020 0.138 0.706
V2 0.513 0.539 0.183
V3 0.615 0.318 0.900
V4 0.619 0.106 0.390
O1 0.169 0.311 0.141
O2 0.305 0.990 0.435
O3 0.380 0.040 0.972
O4 0.391 0.323 0.743
O5 0.628 0.858 0.275
O6 0.692 0.382 0.290
O7 0.721 0.621 0.020
O8 0.873 0.193 0.545
O9 0.895 0.225 0.858
O10 0.926 0.823 0.732
```

The 10 most intense peaks (5° ≤ 2θ ≤ 70°), in order of rising 2θ:
| (hkl) | 2θ (°) | I/Imax |
| --- | --- | --- |
| 0 0 1 | 9.2 | 46.0 |
| 0 1 0 | 17.8 | 100.0 |
| 1 0 0 | 18.7 | 58.3 |
| 0 1 -1 | 19.4 | 70.2 |
| 1 0 -1 | 19.8 | 52.3 |
| -1 1 1 | 20.4 | 34.9 |
| 1 0 1 | 21.8 | 41.6 |
| 1 0 -2 | 24.7 | 29.8 |
| -1 1 2 | 25.6 | 65.5 |
| 1 -1 2 | 27.1 | 68.4 |

Entry 4:
Structure and simulated X-ray powder pattern of Li3Fe4B4O12 (a crystal structure in the Materials Project, relaxed with GGA+U; a wavelength of 1.5418 Å).
Peak positions follow from Bragg's law for the DFT cell and can differ from measured ones.

Structural model:
```
data_Li3Fe4B4O12
_cell_length_a 5.238
_cell_length_b 5.260
_cell_length_c 10.033
_cell_angle_alpha 88.53
_cell_angle_beta 89.62
_cell_angle_gamma 60.19
_symmetry_space_group_name_H-M 'P 1'
_symmetry_Int_Tables_number 1
_symmetry_space_group_name_Hall 'P 1'
loop_
_atom_site_label
_atom_site_fract_x
_atom_site_fract_y
_atom_site_fract_z
Li1 0.000 0.000 0.000
Li2 0.015 0.670 0.262
Li3 0.967 0.694 0.758
Fe1 0.314 0.017 0.726
Fe2 0.328 0.335 0.975
Fe3 0.650 0.670 0.480
Fe4 0.678 0.339 0.227
B1 0.324 0.336 0.472
B2 0.328 0.011 0.223
B3 0.647 0.344 0.726
B4 0.655 0.675 0.971
O1 0.049 0.575 0.455
O2 0.081 0.984 0.208
O3 0.320 0.272 0.188
O4 0.361 0.070 0.521
O5 0.376 0.373 0.763
O6 0.386 0.923 0.936
O7 0.569 0.360 0.437
O8 0.592 0.770 0.271
O9 0.652 0.601 0.681
O10 0.660 0.419 0.015
O11 0.902 0.084 0.733
O12 0.912 0.684 0.960
```

The 10 most intense peaks (5° ≤ 2θ ≤ 70°), in order of rising 2θ:
| (hkl) | 2θ (°) | I/Imax |
| --- | --- | --- |
| 1 0 0 | 19.5 | 100.0 |
| 0 1 -1 | 21.6 | 75.1 |
| 1 1 -1 | 21.6 | 42.4 |
| 1 1 2 | 26.2 | 31.6 |
| 0 1 -2 | 26.7 | 37.9 |
| 1 -1 0 | 34.1 | 62.7 |
| 2 1 0 | 34.2 | 36.6 |
| 0 0 4 | 35.8 | 96.3 |
| 2 2 1 | 40.6 | 37.8 |
| 3 0 0 | 61.2 | 32.8 |

Entry 5:
Structure and simulated X-ray powder pattern of LiFe8O12 (a crystal structure in the Materials Project, relaxed with GGA+U; a wavelength of 1.5418 Å).
Peak positions follow from Bragg's law for the DFT cell and can differ from measured ones.

Structural model:
```
data_LiFe8O12
_cell_length_a 5.318
_cell_length_b 5.369
_cell_length_c 9.063
_cell_angle_alpha 90.00
_cell_angle_beta 106.98
_cell_angle_gamma 90.00
_symmetry_space_group_name_H-M 'P 1 2 1'
_symmetry_Int_Tables_number 3
_symmetry_space_group_name_Hall 'P 2y'
loop_
_atom_site_label
_atom_site_fract_x
_atom_site_fract_y
_atom_site_fract_z
Li1 0.000 0.000 0.000
Fe1 0.174 0.486 0.191
Fe2 0.243 0.949 0.410
Fe3 0.248 0.437 0.583
Fe4 0.337 0.889 0.804
O1 0.000 0.350 0.000
O2 0.000 0.758 0.500
O3 0.035 0.824 0.198
O4 0.082 0.296 0.357
O5 0.422 0.083 0.637
O6 0.466 0.562 0.792
O7 0.500 0.009 0.000
O8 0.500 0.651 0.500
```

The 10 most intense peaks (5° ≤ 2θ ≤ 70°), in order of rising 2θ:
| (hkl) | 2θ (°) | I/Imax |
| --- | --- | --- |
| 0 0 1 | 10.2 | 89.6 |
| 1 1 0 | 24.1 | 29.8 |
| 1 1 -2 | 28.2 | 63.1 |
| 0 2 0 | 33.4 | 45.7 |
| 2 0 -1 | 33.7 | 46.2 |
| 1 1 2 | 35.1 | 100.0 |
| 0 1 3 | 35.3 | 26.7 |
| 1 1 3 | 43.7 | 24.1 |
| 3 1 -3 | 57.0 | 33.7 |
| 1 3 -3 | 60.8 | 28.9 |